(1)
# NdSi3Rh
Computed PXRD pattern, Cu Kα. Input: a PBE-relaxed structure.
No peak broadening, texture or thermal motion is included.

Principal peaks in the range 10° ≤ 2θ ≤ 90°, sorted by position:
d (Å), 2θ/deg, I (rel.)
3.899, 22.8, 41
3.000, 29.8, 58
2.605, 34.4, 100
2.565, 35.0, 58
2.121, 42.6, 50
1.794, 50.9, 19
1.645, 55.9, 49
1.500, 61.9, 16
1.446, 64.5, 18
1.370, 68.5, 16

Crystal structure
```
NdSi3Rh
1.0
-2.1211 2.1211 4.9495
2.1211 -2.1211 4.9495
2.1211 2.1211 -4.9495
Nd Si Rh
1 3 1
Direct
0.0000 0.0000 0.0000
0.2631 0.7631 0.5000
0.4147 0.4147 0.0000
0.7631 0.2631 0.5000
0.6557 0.6557 0.0000
```


(2)
# Ce4Ni3Pt
Computed PXRD pattern, Cu Kα. Input: a PBE-relaxed structure.
No peak broadening, texture or thermal motion is included.

Principal peaks in the range 10° ≤ 2θ ≤ 90°, sorted by position:
d (Å), 2θ/deg, I (rel.)
2.713, 33.0, 100
2.661, 33.7, 33
2.563, 35.0, 24
2.262, 39.9, 18
2.201, 41.0, 65
2.146, 42.1, 29
1.854, 49.1, 19
1.670, 55.0, 16
1.645, 55.9, 14
1.403, 66.7, 14

Crystal structure
```
Ce4Ni3Pt
1.0
3.7071 0.0000 0.0000
0.0000 4.2914 0.0000
0.0000 0.0000 10.6455
Ce Ni Pt
4 3 1
Direct
0.0000 0.0000 0.0000
0.0000 0.5000 0.2636
0.5000 0.0000 0.4813
0.5000 0.5000 0.7635
0.0000 0.5000 0.5341
0.5000 0.0000 0.2053
0.5000 0.5000 0.0466
0.0000 0.0000 0.7130
```


(3)
# KUSi2O7
Computed PXRD pattern, Cu Kα. Input: a PBE-relaxed structure.
No peak broadening, texture or thermal motion is included.

Principal peaks in the range 10° ≤ 2θ ≤ 90°, sorted by position:
d (Å), 2θ/deg, I (rel.)
6.547, 13.5, 100
4.629, 19.2, 71
4.180, 21.3, 43
3.523, 25.3, 53
3.273, 27.2, 33
3.102, 28.8, 61
2.928, 30.5, 63
2.398, 37.5, 33
2.070, 43.7, 27
1.855, 49.1, 28

Crystal structure
```
KUSi2O7
1.0
9.2588 0.0000 0.0000
0.0000 9.2588 0.0000
0.0000 0.0000 8.3593
K U Si O
4 4 8 28
Direct
0.1788 0.3212 0.0000
0.3212 0.8212 0.0000
0.6788 0.1788 0.0000
0.8212 0.6788 0.0000
0.0000 0.0000 0.2504
0.0000 0.0000 0.7496
0.5000 0.5000 0.2504
0.5000 0.5000 0.7496
0.1198 0.6198 0.3056
0.1198 0.6198 0.6944
0.3802 0.1198 0.3056
0.3802 0.1198 0.6944
0.6198 0.8802 0.3056
0.6198 0.8802 0.6944
0.8802 0.3802 0.3056
0.8802 0.3802 0.6944
0.0000 0.0000 0.0000
0.0000 0.0000 0.5000
0.0000 0.5000 0.2422
0.0000 0.5000 0.7578
0.0730 0.7761 0.2326
0.0730 0.7761 0.7674
0.1215 0.6215 0.5000
0.2239 0.0730 0.2326
0.2239 0.0730 0.7674
0.2761 0.5730 0.2326
0.2761 0.5730 0.7674
0.3785 0.1215 0.5000
0.4270 0.2761 0.2326
0.4270 0.2761 0.7674
0.5000 0.0000 0.2422
0.5000 0.0000 0.7578
0.5000 0.5000 0.0000
0.5000 0.5000 0.5000
0.5730 0.7239 0.2326
0.5730 0.7239 0.7674
0.6215 0.8785 0.5000
0.7239 0.4270 0.2326
0.7239 0.4270 0.7674
0.7761 0.9270 0.2326
0.7761 0.9270 0.7674
0.8785 0.3785 0.5000
0.9270 0.2239 0.2326
0.9270 0.2239 0.7674
```